1.
Theoretical powder diffractogram
Compound: Ce3Hg
Radiation: Cu Kα (weighted mean of Kα1 and Kα2)
Structure: DFT lattice parameters and positions (PBE)

Crystal structure
```
data_Ce3Hg
_cell_length_a 4.6794
_cell_length_b 4.6794
_cell_length_c 9.7535
_cell_angle_alpha 90.00
_cell_angle_beta 90.00
_cell_angle_gamma 90.00
_symmetry_space_group_name_H-M 'P 1'
_symmetry_Int_Tables_number 1
loop_
_symmetry_equiv_pos_as_xyz
'x,y,z'
loop_
_atom_site_label
_atom_site_type_symbol
_atom_site_fract_x
_atom_site_fract_y
_atom_site_fract_z
_atom_site_occupancy
Ce1 Ce 0.0000 0.0000 0.0000 1
Ce2 Ce 0.0000 0.5000 0.2500 1
Ce3 Ce 0.0000 0.5000 0.7500 1
Ce4 Ce 0.5000 0.0000 0.2500 1
Ce5 Ce 0.5000 0.0000 0.7500 1
Ce6 Ce 0.5000 0.5000 0.5000 1
Hg1 Hg 0.0000 0.0000 0.5000 1
Hg2 Hg 0.5000 0.5000 0.0000 1
```

Most intense lines, 5° ≤ 2θ ≤ 70°, in order of rising 2θ:
18.19 deg, rel. 1
21.06 deg, rel. 3
32.71 deg, rel. 100
33.56 deg, rel. 1
36.86 deg, rel. 18
38.48 deg, rel. 32
44.27 deg, rel. 1
54.34 deg, rel. 24
55.55 deg, rel. 11
63.79 deg, rel. 15
65.97 deg, rel. 27
68.54 deg, rel. 12

---

2.
Theoretical powder diffractogram
Compound: CeHg
Radiation: Cu Kα (weighted mean of Kα1 and Kα2)
Structure: DFT lattice parameters and positions (PBE)

Crystal structure
```
data_CeHg
_cell_length_a 3.8290
_cell_length_b 3.8290
_cell_length_c 3.8290
_cell_angle_alpha 90.00
_cell_angle_beta 90.00
_cell_angle_gamma 90.00
_symmetry_space_group_name_H-M 'P 1'
_symmetry_Int_Tables_number 1
loop_
_symmetry_equiv_pos_as_xyz
'x,y,z'
loop_
_atom_site_label
_atom_site_type_symbol
_atom_site_fract_x
_atom_site_fract_y
_atom_site_fract_z
_atom_site_occupancy
Ce1 Ce 0.0000 0.0000 0.0000 1
Hg1 Hg 0.5000 0.5000 0.5000 1
```

Most intense lines, 5° ≤ 2θ ≤ 70°, in order of rising 2θ:
23.23 deg, rel. 4
33.09 deg, rel. 100
40.82 deg, rel. 1
47.49 deg, rel. 18
53.51 deg, rel. 2
59.10 deg, rel. 38
69.43 deg, rel. 12

---

3.
Theoretical powder diffractogram
Compound: CeHg3
Radiation: Cu Kα (weighted mean of Kα1 and Kα2)
Structure: DFT lattice parameters and positions (PBE)

Crystal structure
```
data_CeHg3
_cell_length_a 6.8704
_cell_length_b 6.8704
_cell_length_c 5.0612
_cell_angle_alpha 90.00
_cell_angle_beta 90.00
_cell_angle_gamma 120.00
_symmetry_space_group_name_H-M 'P 1'
_symmetry_Int_Tables_number 1
loop_
_symmetry_equiv_pos_as_xyz
'x,y,z'
loop_
_atom_site_label
_atom_site_type_symbol
_atom_site_fract_x
_atom_site_fract_y
_atom_site_fract_z
_atom_site_occupancy
Ce1 Ce 0.3333 0.6667 0.2500 1
Ce2 Ce 0.6667 0.3333 0.7500 1
Hg1 Hg 0.1639 0.3279 0.7500 1
Hg2 Hg 0.1639 0.8361 0.7500 1
Hg3 Hg 0.3279 0.1639 0.2500 1
Hg4 Hg 0.6721 0.8361 0.7500 1
Hg5 Hg 0.8361 0.1639 0.2500 1
Hg6 Hg 0.8361 0.6721 0.2500 1
```

Most intense lines, 5° ≤ 2θ ≤ 70°, in order of rising 2θ:
14.89 deg, rel. 2
23.07 deg, rel. 1
30.04 deg, rel. 25
34.99 deg, rel. 100
35.47 deg, rel. 21
44.06 deg, rel. 1
47.15 deg, rel. 15
53.34 deg, rel. 20
62.43 deg, rel. 3
63.38 deg, rel. 18
65.39 deg, rel. 17
65.70 deg, rel. 22

---

4.
Theoretical powder diffractogram
Compound: LiCeHg2
Radiation: Cu Kα (weighted mean of Kα1 and Kα2)
Structure: DFT lattice parameters and positions (PBE)

Crystal structure
```
data_LiCeHg2
_cell_length_a 7.2806
_cell_length_b 7.2806
_cell_length_c 7.2806
_cell_angle_alpha 90.00
_cell_angle_beta 90.00
_cell_angle_gamma 90.00
_symmetry_space_group_name_H-M 'P 1'
_symmetry_Int_Tables_number 1
loop_
_symmetry_equiv_pos_as_xyz
'x,y,z'
loop_
_atom_site_label
_atom_site_type_symbol
_atom_site_fract_x
_atom_site_fract_y
_atom_site_fract_z
_atom_site_occupancy
Li1 Li 0.0000 0.0000 0.0000 1
Li2 Li 0.0000 0.5000 0.5000 1
Li3 Li 0.5000 0.0000 0.5000 1
Li4 Li 0.5000 0.5000 0.0000 1
Ce1 Ce 0.0000 0.0000 0.5000 1
Ce2 Ce 0.0000 0.5000 0.0000 1
Ce3 Ce 0.5000 0.0000 0.0000 1
Ce4 Ce 0.5000 0.5000 0.5000 1
Hg1 Hg 0.2500 0.2500 0.2500 1
Hg2 Hg 0.2500 0.2500 0.7500 1
Hg3 Hg 0.2500 0.7500 0.2500 1
Hg4 Hg 0.2500 0.7500 0.7500 1
Hg5 Hg 0.7500 0.2500 0.2500 1
Hg6 Hg 0.7500 0.2500 0.7500 1
Hg7 Hg 0.7500 0.7500 0.2500 1
Hg8 Hg 0.7500 0.7500 0.7500 1
```

Most intense lines, 5° ≤ 2θ ≤ 70°, in order of rising 2θ:
21.14 deg, rel. 14
24.45 deg, rel. 26
34.85 deg, rel. 100
41.12 deg, rel. 8
43.04 deg, rel. 8
50.12 deg, rel. 18
54.97 deg, rel. 3
56.53 deg, rel. 12
62.50 deg, rel. 38
66.76 deg, rel. 2

---

5.
Theoretical powder diffractogram
Compound: NaCeHg2
Radiation: Cu Kα (weighted mean of Kα1 and Kα2)
Structure: DFT lattice parameters and positions (PBE)

Crystal structure
```
data_NaCeHg2
_cell_length_a 7.5677
_cell_length_b 7.5677
_cell_length_c 7.5677
_cell_angle_alpha 90.00
_cell_angle_beta 90.00
_cell_angle_gamma 90.00
_symmetry_space_group_name_H-M 'P 1'
_symmetry_Int_Tables_number 1
loop_
_symmetry_equiv_pos_as_xyz
'x,y,z'
loop_
_atom_site_label
_atom_site_type_symbol
_atom_site_fract_x
_atom_site_fract_y
_atom_site_fract_z
_atom_site_occupancy
Na1 Na 0.0000 0.0000 0.0000 1
Na2 Na 0.0000 0.5000 0.5000 1
Na3 Na 0.5000 0.0000 0.5000 1
Na4 Na 0.5000 0.5000 0.0000 1
Ce1 Ce 0.0000 0.0000 0.5000 1
Ce2 Ce 0.0000 0.5000 0.0000 1
Ce3 Ce 0.5000 0.0000 0.0000 1
Ce4 Ce 0.5000 0.5000 0.5000 1
Hg1 Hg 0.2500 0.2500 0.2500 1
Hg2 Hg 0.2500 0.2500 0.7500 1
Hg3 Hg 0.2500 0.7500 0.2500 1
Hg4 Hg 0.2500 0.7500 0.7500 1
Hg5 Hg 0.7500 0.2500 0.2500 1
Hg6 Hg 0.7500 0.2500 0.7500 1
Hg7 Hg 0.7500 0.7500 0.2500 1
Hg8 Hg 0.7500 0.7500 0.7500 1
```

Most intense lines, 5° ≤ 2θ ≤ 70°, in order of rising 2θ:
20.33 deg, rel. 10
23.51 deg, rel. 21
33.49 deg, rel. 100
39.49 deg, rel. 5
41.33 deg, rel. 7
48.09 deg, rel. 18
52.72 deg, rel. 2
54.20 deg, rel. 9
59.88 deg, rel. 38
63.92 deg, rel. 2

---

6.
Theoretical powder diffractogram
Compound: CePrHg2
Radiation: Cu Kα (weighted mean of Kα1 and Kα2)
Structure: DFT lattice parameters and positions (PBE)

Crystal structure
```
data_CePrHg2
_cell_length_a 7.6880
_cell_length_b 7.6880
_cell_length_c 7.6880
_cell_angle_alpha 90.00
_cell_angle_beta 90.00
_cell_angle_gamma 90.00
_symmetry_space_group_name_H-M 'P 1'
_symmetry_Int_Tables_number 1
loop_
_symmetry_equiv_pos_as_xyz
'x,y,z'
loop_
_atom_site_label
_atom_site_type_symbol
_atom_site_fract_x
_atom_site_fract_y
_atom_site_fract_z
_atom_site_occupancy
Ce1 Ce 0.0000 0.0000 0.0000 1
Ce2 Ce 0.0000 0.5000 0.5000 1
Ce3 Ce 0.5000 0.0000 0.5000 1
Ce4 Ce 0.5000 0.5000 0.0000 1
Pr1 Pr 0.0000 0.0000 0.5000 1
Pr2 Pr 0.0000 0.5000 0.0000 1
Pr3 Pr 0.5000 0.0000 0.0000 1
Pr4 Pr 0.5000 0.5000 0.5000 1
Hg1 Hg 0.2500 0.2500 0.2500 1
Hg2 Hg 0.2500 0.2500 0.7500 1
Hg3 Hg 0.2500 0.7500 0.2500 1
Hg4 Hg 0.2500 0.7500 0.7500 1
Hg5 Hg 0.7500 0.2500 0.2500 1
Hg6 Hg 0.7500 0.2500 0.7500 1
Hg7 Hg 0.7500 0.7500 0.2500 1
Hg8 Hg 0.7500 0.7500 0.7500 1
```

Most intense lines, 5° ≤ 2θ ≤ 70°, in order of rising 2θ:
23.14 deg, rel. 3
32.95 deg, rel. 100
40.65 deg, rel. 1
47.29 deg, rel. 18
53.29 deg, rel. 2
58.85 deg, rel. 39
69.12 deg, rel. 12

---

7.
Theoretical powder diffractogram
Compound: SrCeHg2
Radiation: Cu Kα (weighted mean of Kα1 and Kα2)
Structure: DFT lattice parameters and positions (PBE)

Crystal structure
```
data_SrCeHg2
_cell_length_a 7.7611
_cell_length_b 7.7611
_cell_length_c 7.7611
_cell_angle_alpha 90.00
_cell_angle_beta 90.00
_cell_angle_gamma 90.00
_symmetry_space_group_name_H-M 'P 1'
_symmetry_Int_Tables_number 1
loop_
_symmetry_equiv_pos_as_xyz
'x,y,z'
loop_
_atom_site_label
_atom_site_type_symbol
_atom_site_fract_x
_atom_site_fract_y
_atom_site_fract_z
_atom_site_occupancy
Sr1 Sr 0.0000 0.0000 0.0000 1
Sr2 Sr 0.0000 0.5000 0.5000 1
Sr3 Sr 0.5000 0.0000 0.5000 1
Sr4 Sr 0.5000 0.5000 0.0000 1
Ce1 Ce 0.0000 0.0000 0.5000 1
Ce2 Ce 0.0000 0.5000 0.0000 1
Ce3 Ce 0.5000 0.0000 0.0000 1
Ce4 Ce 0.5000 0.5000 0.5000 1
Hg1 Hg 0.2500 0.2500 0.2500 1
Hg2 Hg 0.2500 0.2500 0.7500 1
Hg3 Hg 0.2500 0.7500 0.2500 1
Hg4 Hg 0.2500 0.7500 0.7500 1
Hg5 Hg 0.7500 0.2500 0.2500 1
Hg6 Hg 0.7500 0.2500 0.7500 1
Hg7 Hg 0.7500 0.7500 0.2500 1
Hg8 Hg 0.7500 0.7500 0.7500 1
```

Most intense lines, 5° ≤ 2θ ≤ 70°, in order of rising 2θ:
19.81 deg, rel. 2
22.92 deg, rel. 9
32.63 deg, rel. 100
38.47 deg, rel. 1
40.25 deg, rel. 3
46.82 deg, rel. 18
52.75 deg, rel. 4
58.24 deg, rel. 39
68.38 deg, rel. 12

---

8.
Theoretical powder diffractogram
Compound: Ce2ZnHg
Radiation: Cu Kα (weighted mean of Kα1 and Kα2)
Structure: DFT lattice parameters and positions (PBE)

Crystal structure
```
data_Ce2ZnHg
_cell_length_a 7.5165
_cell_length_b 7.5165
_cell_length_c 7.5165
_cell_angle_alpha 90.00
_cell_angle_beta 90.00
_cell_angle_gamma 90.00
_symmetry_space_group_name_H-M 'P 1'
_symmetry_Int_Tables_number 1
loop_
_symmetry_equiv_pos_as_xyz
'x,y,z'
loop_
_atom_site_label
_atom_site_type_symbol
_atom_site_fract_x
_atom_site_fract_y
_atom_site_fract_z
_atom_site_occupancy
Ce1 Ce 0.2500 0.2500 0.2500 1
Ce2 Ce 0.2500 0.2500 0.7500 1
Ce3 Ce 0.2500 0.7500 0.2500 1
Ce4 Ce 0.2500 0.7500 0.7500 1
Ce5 Ce 0.7500 0.2500 0.2500 1
Ce6 Ce 0.7500 0.2500 0.7500 1
Ce7 Ce 0.7500 0.7500 0.2500 1
Ce8 Ce 0.7500 0.7500 0.7500 1
Zn1 Zn 0.0000 0.0000 0.0000 1
Zn2 Zn 0.0000 0.5000 0.5000 1
Zn3 Zn 0.5000 0.0000 0.5000 1
Zn4 Zn 0.5000 0.5000 0.0000 1
Hg1 Hg 0.0000 0.0000 0.5000 1
Hg2 Hg 0.0000 0.5000 0.0000 1
Hg3 Hg 0.5000 0.0000 0.0000 1
Hg4 Hg 0.5000 0.5000 0.5000 1
```

Most intense lines, 5° ≤ 2θ ≤ 70°, in order of rising 2θ:
20.47 deg, rel. 12
33.73 deg, rel. 100
39.77 deg, rel. 7
48.44 deg, rel. 18
53.11 deg, rel. 3
60.33 deg, rel. 37
64.41 deg, rel. 2

---

9.
Theoretical powder diffractogram
Compound: CeHoIn2
Radiation: Cu Kα (weighted mean of Kα1 and Kα2)
Structure: DFT lattice parameters and positions (PBE)

Crystal structure
```
data_CeHoIn2
_cell_length_a 7.5931
_cell_length_b 7.5931
_cell_length_c 7.5931
_cell_angle_alpha 90.00
_cell_angle_beta 90.00
_cell_angle_gamma 90.00
_symmetry_space_group_name_H-M 'P 1'
_symmetry_Int_Tables_number 1
loop_
_symmetry_equiv_pos_as_xyz
'x,y,z'
loop_
_atom_site_label
_atom_site_type_symbol
_atom_site_fract_x
_atom_site_fract_y
_atom_site_fract_z
_atom_site_occupancy
Ce1 Ce 0.0000 0.0000 0.0000 1
Ce2 Ce 0.0000 0.5000 0.5000 1
Ce3 Ce 0.5000 0.0000 0.5000 1
Ce4 Ce 0.5000 0.5000 0.0000 1
Ho1 Ho 0.0000 0.0000 0.5000 1
Ho2 Ho 0.0000 0.5000 0.0000 1
Ho3 Ho 0.5000 0.0000 0.0000 1
Ho4 Ho 0.5000 0.5000 0.5000 1
In1 In 0.2500 0.2500 0.2500 1
In2 In 0.2500 0.2500 0.7500 1
In3 In 0.2500 0.7500 0.2500 1
In4 In 0.2500 0.7500 0.7500 1
In5 In 0.7500 0.2500 0.2500 1
In6 In 0.7500 0.2500 0.7500 1
In7 In 0.7500 0.7500 0.2500 1
In8 In 0.7500 0.7500 0.7500 1
```

Most intense lines, 5° ≤ 2θ ≤ 70°, in order of rising 2θ:
23.43 deg, rel. 2
33.38 deg, rel. 100
41.18 deg, rel. 1
47.92 deg, rel. 18
54.01 deg, rel. 1
59.65 deg, rel. 37

---

10.
Theoretical powder diffractogram
Compound: CeHoMg2
Radiation: Cu Kα (weighted mean of Kα1 and Kα2)
Structure: DFT lattice parameters and positions (PBE)

Crystal structure
```
data_CeHoMg2
_cell_length_a 7.6336
_cell_length_b 7.6336
_cell_length_c 7.6336
_cell_angle_alpha 90.00
_cell_angle_beta 90.00
_cell_angle_gamma 90.00
_symmetry_space_group_name_H-M 'P 1'
_symmetry_Int_Tables_number 1
loop_
_symmetry_equiv_pos_as_xyz
'x,y,z'
loop_
_atom_site_label
_atom_site_type_symbol
_atom_site_fract_x
_atom_site_fract_y
_atom_site_fract_z
_atom_site_occupancy
Ce1 Ce 0.0000 0.0000 0.0000 1
Ce2 Ce 0.0000 0.5000 0.5000 1
Ce3 Ce 0.5000 0.0000 0.5000 1
Ce4 Ce 0.5000 0.5000 0.0000 1
Ho1 Ho 0.0000 0.0000 0.5000 1
Ho2 Ho 0.0000 0.5000 0.0000 1
Ho3 Ho 0.5000 0.0000 0.0000 1
Ho4 Ho 0.5000 0.5000 0.5000 1
Mg1 Mg 0.2500 0.2500 0.2500 1
Mg2 Mg 0.2500 0.2500 0.7500 1
Mg3 Mg 0.2500 0.7500 0.2500 1
Mg4 Mg 0.2500 0.7500 0.7500 1
Mg5 Mg 0.7500 0.2500 0.2500 1
Mg6 Mg 0.7500 0.2500 0.7500 1
Mg7 Mg 0.7500 0.7500 0.2500 1
Mg8 Mg 0.7500 0.7500 0.7500 1
```

Most intense lines, 5° ≤ 2θ ≤ 70°, in order of rising 2θ:
20.15 deg, rel. 1
23.31 deg, rel. 61
33.19 deg, rel. 100
39.14 deg, rel. 1
40.96 deg, rel. 19
47.65 deg, rel. 18
53.70 deg, rel. 26
59.31 deg, rel. 38
69.68 deg, rel. 12

---

11.
Theoretical powder diffractogram
Compound: CeHo3S6
Radiation: Cu Kα (weighted mean of Kα1 and Kα2)
Structure: DFT lattice parameters and positions (PBE)

Crystal structure
```
data_CeHo3S6
_cell_length_a 11.0875
_cell_length_b 3.9790
_cell_length_c 11.3208
_cell_angle_alpha 90.00
_cell_angle_beta 108.84
_cell_angle_gamma 90.00
_symmetry_space_group_name_H-M 'P 1'
_symmetry_Int_Tables_number 1
loop_
_symmetry_equiv_pos_as_xyz
'x,y,z'
loop_
_atom_site_label
_atom_site_type_symbol
_atom_site_fract_x
_atom_site_fract_y
_atom_site_fract_z
_atom_site_occupancy
Ce1 Ce 0.0496 0.2500 0.1940 1
Ce2 Ce 0.9504 0.7500 0.8060 1
Ho1 Ho 0.1602 0.2500 0.5862 1
Ho2 Ho 0.3202 0.7500 0.9997 1
Ho3 Ho 0.4428 0.2500 0.3333 1
Ho4 Ho 0.5572 0.7500 0.6667 1
Ho5 Ho 0.6798 0.2500 0.0003 1
Ho6 Ho 0.8398 0.7500 0.4138 1
S1 S 0.0814 0.7500 0.4046 1
S2 S 0.1177 0.2500 0.9631 1
S3 S 0.1958 0.7500 0.7499 1
S4 S 0.2663 0.7500 0.2298 1
S5 S 0.3929 0.2500 0.5573 1
S6 S 0.4790 0.2500 0.1119 1
S7 S 0.5210 0.7500 0.8881 1
S8 S 0.6071 0.7500 0.4427 1
S9 S 0.7337 0.2500 0.7702 1
S10 S 0.8042 0.2500 0.2501 1
S11 S 0.8823 0.7500 0.0369 1
S12 S 0.9186 0.2500 0.5954 1
```

Most intense lines, 5° ≤ 2θ ≤ 70°, in order of rising 2θ:
23.58 deg, rel. 78
24.08 deg, rel. 100
26.24 deg, rel. 68
27.37 deg, rel. 44
27.58 deg, rel. 50
30.94 deg, rel. 71
34.13 deg, rel. 52
42.18 deg, rel. 77
43.85 deg, rel. 39
45.60 deg, rel. 45
46.28 deg, rel. 33
46.72 deg, rel. 27

---

12.
Theoretical powder diffractogram
Compound: CeHo4S7
Radiation: Cu Kα (weighted mean of Kα1 and Kα2)
Structure: DFT lattice parameters and positions (PBE)

Crystal structure
```
data_CeHo4S7
_cell_length_a 6.7920
_cell_length_b 6.7920
_cell_length_c 11.6099
_cell_angle_alpha 104.19
_cell_angle_beta 104.19
_cell_angle_gamma 32.62
_symmetry_space_group_name_H-M 'P 1'
_symmetry_Int_Tables_number 1
loop_
_symmetry_equiv_pos_as_xyz
'x,y,z'
loop_
_atom_site_label
_atom_site_type_symbol
_atom_site_fract_x
_atom_site_fract_y
_atom_site_fract_z
_atom_site_occupancy
Ce1 Ce 0.0000 0.0000 0.0000 1
Ho1 Ho 0.1124 0.1124 0.4228 1
Ho2 Ho 0.3004 0.3004 0.1889 1
Ho3 Ho 0.6996 0.6996 0.8111 1
Ho4 Ho 0.8876 0.8876 0.5772 1
S1 S 0.0445 0.0445 0.7793 1
S2 S 0.2611 0.2611 0.6456 1
S3 S 0.3350 0.3350 0.9450 1
S4 S 0.5000 0.5000 0.5000 1
S5 S 0.6650 0.6650 0.0550 1
S6 S 0.7389 0.7389 0.3544 1
S7 S 0.9555 0.9555 0.2207 1
```

Most intense lines, 5° ≤ 2θ ≤ 70°, in order of rising 2θ:
23.77 deg, rel. 86
24.37 deg, rel. 100
26.22 deg, rel. 39
27.37 deg, rel. 39
31.30 deg, rel. 32
32.96 deg, rel. 59
34.04 deg, rel. 36
39.01 deg, rel. 27
42.03 deg, rel. 29
45.91 deg, rel. 26
46.95 deg, rel. 24
47.67 deg, rel. 26

---

13.
Theoretical powder diffractogram
Compound: CeI3
Radiation: Cu Kα (weighted mean of Kα1 and Kα2)
Structure: DFT lattice parameters and positions (PBE)

Crystal structure
```
data_CeI3
_cell_length_a 11.0079
_cell_length_b 11.0079
_cell_length_c 4.1384
_cell_angle_alpha 90.00
_cell_angle_beta 90.00
_cell_angle_gamma 120.00
_symmetry_space_group_name_H-M 'P 1'
_symmetry_Int_Tables_number 1
loop_
_symmetry_equiv_pos_as_xyz
'x,y,z'
loop_
_atom_site_label
_atom_site_type_symbol
_atom_site_fract_x
_atom_site_fract_y
_atom_site_fract_z
_atom_site_occupancy
Ce1 Ce 0.3333 0.6667 0.2500 1
Ce2 Ce 0.6667 0.3333 0.7500 1
I1 I 0.2084 0.4167 0.7500 1
I2 I 0.2084 0.7916 0.7500 1
I3 I 0.4167 0.2084 0.2500 1
I4 I 0.5833 0.7916 0.7500 1
I5 I 0.7916 0.2084 0.2500 1
I6 I 0.7916 0.5833 0.2500 1
```

Most intense lines, 5° ≤ 2θ ≤ 70°, in order of rising 2θ:
9.28 deg, rel. 67
18.62 deg, rel. 57
24.71 deg, rel. 25
28.56 deg, rel. 100
32.54 deg, rel. 20
32.96 deg, rel. 22
35.62 deg, rel. 40
40.49 deg, rel. 21
43.80 deg, rel. 24
49.69 deg, rel. 17
58.32 deg, rel. 21
68.35 deg, rel. 16

---

14.
Theoretical powder diffractogram
Compound: CeI3
Radiation: Cu Kα (weighted mean of Kα1 and Kα2)
Structure: DFT lattice parameters and positions (PBE)

Crystal structure
```
data_CeI3
_cell_length_a 4.3502
_cell_length_b 15.1163
_cell_length_c 10.1796
_cell_angle_alpha 90.00
_cell_angle_beta 90.00
_cell_angle_gamma 90.00
_symmetry_space_group_name_H-M 'P 1'
_symmetry_Int_Tables_number 1
loop_
_symmetry_equiv_pos_as_xyz
'x,y,z'
loop_
_atom_site_label
_atom_site_type_symbol
_atom_site_fract_x
_atom_site_fract_y
_atom_site_fract_z
_atom_site_occupancy
Ce1 Ce 0.0000 0.2428 0.2500 1
Ce2 Ce 0.0000 0.7572 0.7500 1
Ce3 Ce 0.5000 0.2572 0.7500 1
Ce4 Ce 0.5000 0.7428 0.2500 1
I1 I 0.0000 0.1517 0.5670 1
I2 I 0.0000 0.1517 0.9330 1
I3 I 0.0000 0.4089 0.7500 1
I4 I 0.0000 0.5911 0.2500 1
I5 I 0.0000 0.8483 0.0670 1
I6 I 0.0000 0.8483 0.4330 1
I7 I 0.5000 0.0911 0.2500 1
I8 I 0.5000 0.3483 0.0670 1
I9 I 0.5000 0.3483 0.4330 1
I10 I 0.5000 0.6517 0.5670 1
I11 I 0.5000 0.6517 0.9330 1
I12 I 0.5000 0.9089 0.7500 1
```

Most intense lines, 5° ≤ 2θ ≤ 70°, in order of rising 2θ:
11.71 deg, rel. 68
27.08 deg, rel. 39
27.61 deg, rel. 49
28.49 deg, rel. 100
28.84 deg, rel. 71
34.03 deg, rel. 52
37.28 deg, rel. 26
39.93 deg, rel. 37
41.52 deg, rel. 34
51.35 deg, rel. 33
52.87 deg, rel. 22
58.96 deg, rel. 25

---

15.
Theoretical powder diffractogram
Compound: K3CeI6
Radiation: Cu Kα (weighted mean of Kα1 and Kα2)
Structure: DFT lattice parameters and positions (PBE)

Crystal structure
```
data_K3CeI6
_cell_length_a 9.1517
_cell_length_b 9.1517
_cell_length_c 9.1517
_cell_angle_alpha 60.00
_cell_angle_beta 60.00
_cell_angle_gamma 60.00
_symmetry_space_group_name_H-M 'P 1'
_symmetry_Int_Tables_number 1
loop_
_symmetry_equiv_pos_as_xyz
'x,y,z'
loop_
_atom_site_label
_atom_site_type_symbol
_atom_site_fract_x
_atom_site_fract_y
_atom_site_fract_z
_atom_site_occupancy
K1 K 0.0000 0.0000 0.0000 1
K2 K 0.2500 0.2500 0.2500 1
K3 K 0.7500 0.7500 0.7500 1
Ce1 Ce 0.5000 0.5000 0.5000 1
I1 I 0.2592 0.2592 0.7408 1
I2 I 0.2592 0.7408 0.2592 1
I3 I 0.2592 0.7408 0.7408 1
I4 I 0.7408 0.2592 0.2592 1
I5 I 0.7408 0.2592 0.7408 1
I6 I 0.7408 0.7408 0.2592 1
```

Most intense lines, 5° ≤ 2θ ≤ 70°, in order of rising 2θ:
11.84 deg, rel. 18
13.68 deg, rel. 62
23.82 deg, rel. 80
27.57 deg, rel. 100
30.90 deg, rel. 34
39.38 deg, rel. 74
41.88 deg, rel. 19
46.55 deg, rel. 37
48.75 deg, rel. 26
56.92 deg, rel. 12
62.57 deg, rel. 14
64.39 deg, rel. 32